Computed powder diffraction line list of Tl3MoO7 for Cu Kα, from the PBE+U geometry in Alexandria.
No peak broadening, texture or thermal motion is included.

Top 10 peaks for 10 to 90 degrees two-theta, in order of rising 2θ:
2theta	d (Å)	I (rel.)	h k l
28.34	3.149	100	2 2 0
28.65	3.116	96	2 0 2
32.94	2.719	27	4 0 0
33.06	2.710	48	0 2 2
47.37	1.919	55	4 2 2
47.85	1.901	16	0 0 4
56.02	1.641	39	6 2 0
56.22	1.636	14	6 0 2
56.55	1.627	29	2 2 4
76.73	1.242	13	6 2 4

Structural model:
```
data_Tl3MoO7
_cell_length_a 10.875
_cell_length_b 7.727
_cell_length_c 7.603
_cell_angle_alpha 90.00
_cell_angle_beta 90.00
_cell_angle_gamma 90.00
_symmetry_space_group_name_H-M 'C m c m'
_symmetry_Int_Tables_number 63
_symmetry_space_group_name_Hall '-C 2c 2'
loop_
_atom_site_label
_atom_site_fract_x
_atom_site_fract_y
_atom_site_fract_z
Tl1 0.000 0.037 0.250
Tl2 0.250 0.250 0.000
Mo1 0.000 0.493 0.750
O1 0.000 0.500 0.000
O2 0.123 0.307 0.250
O3 0.130 0.334 0.750
O4 0.139 0.000 0.000
```